Entry 1:
Diffraction record for HfMg14Mo. The XRD peak list is computed, not measured: it uses a structure optimized by DFT (GGA-PBE) and a wavelength of 1.5418 Å.

Crystal structure
abc: 10.1249 6.3765 6.3765
angles: 56.87 90.00 90.00
Atoms (fractional coordinates):
Hf  0.0000  0.0000  0.0000
Mg  0.0000  0.0034  0.4955
Mg  0.0000  0.4955  0.0034
Mg  0.2367  0.6507  0.6507
Mg  0.2422  0.1649  0.6554
Mg  0.2422  0.6554  0.1649
Mg  0.2525  0.1545  0.1545
Mg  0.5000  0.4959  0.4959
Mg  0.5000  0.4978  0.9934
Mg  0.5000  0.9934  0.4978
Mg  0.5000  0.9932  0.9932
Mg  0.7475  0.1545  0.1545
Mg  0.7578  0.1649  0.6554
Mg  0.7578  0.6554  0.1649
Mg  0.7633  0.6507  0.6507
Mo  0.0000  0.4982  0.4982

Most intense lines, 10 to 90 degrees two-theta, by angle:
2θ (°)	Rel. int.
15.8	39
17.5	29
18.1	54
23.7	26
33.6	37
34.8	21
35.5	41
36.6	65
38.1	100
49.6	28
65.4	19
69.8	21



Entry 2:
Diffraction record for CaTi4Cu3O12. The XRD peak list is computed, not measured: it uses a structure optimized by DFT (GGA-PBE) and a wavelength of 1.5418 Å.

Crystal structure
abc: 6.6941 6.6941 6.6941
angles: 109.47 109.47 109.47
Atoms (fractional coordinates):
Ca  0.0000  0.0000  0.0000
Ti  0.0000  0.0000  0.5000
Ti  0.0000  0.5000  0.0000
Ti  0.5000  0.0000  0.0000
Ti  0.5000  0.5000  0.5000
Cu  0.0000  0.5000  0.5000
Cu  0.5000  0.0000  0.5000
Cu  0.5000  0.5000  0.0000
O  0.0000  0.2468  0.7532
O  0.0000  0.7532  0.2468
O  0.2468  0.0000  0.7532
O  0.2468  0.2468  0.4936
O  0.2468  0.4936  0.2468
O  0.2468  0.7532  0.0000
O  0.4936  0.2468  0.2468
O  0.5064  0.7532  0.7532
O  0.7532  0.0000  0.2468
O  0.7532  0.2468  0.0000
O  0.7532  0.5064  0.7532
O  0.7532  0.7532  0.5064

Most intense lines, 10 to 90 degrees two-theta, by angle:
2θ (°)	Rel. int.
16.2	2
28.3	2
32.8	100
36.8	1
40.4	17
43.8	1
47.0	48
58.5	35
68.7	25
78.2	14
82.8	4
87.4	8



Entry 3:
Diffraction record for Zn4IrN4. The XRD peak list is computed, not measured: it uses a structure optimized by DFT (GGA-PBE) and a wavelength of 1.5418 Å.

Crystal structure
abc: 5.5510 5.7920 7.9819
angles: 78.38 78.29 67.00
Atoms (fractional coordinates):
Zn  0.1294  0.1826  0.4000
Zn  0.2373  0.2598  0.9974
Zn  0.3136  0.8831  0.7444
Zn  0.3455  0.4148  0.6337
Zn  0.6545  0.5852  0.3663
Zn  0.6864  0.1169  0.2556
Zn  0.7627  0.7402  0.0026
Zn  0.8706  0.8174  0.6000
Ir  0.2506  0.6714  0.1890
Ir  0.7494  0.3286  0.8110
N  0.0025  0.4918  0.1910
N  0.0187  0.9053  0.3464
N  0.3460  0.8690  0.9910
N  0.3907  0.3607  0.3859
N  0.6093  0.6393  0.6141
N  0.6540  0.1310  0.0090
N  0.9813  0.0947  0.6536
N  0.9975  0.5082  0.8090

Most intense lines, 10 to 90 degrees two-theta, by angle:
2θ (°)	Rel. int.
19.6	21
21.6	17
23.0	17
26.6	29
30.9	42
33.7	68
34.4	59
35.5	100
35.8	27
36.8	42
38.2	58
45.7	28



Entry 4:
Diffraction record for CsYMg6O8. The XRD peak list is computed, not measured: it uses a structure optimized by DFT (GGA-PBE) and a wavelength of 1.5418 Å.

Crystal structure
abc: 4.7116 4.7116 9.4361
angles: 90.00 90.00 90.00
Atoms (fractional coordinates):
Cs  0.0000  0.0000  0.0000
Y  0.0000  0.0000  0.5000
Mg  0.0000  0.5000  0.2440
Mg  0.0000  0.5000  0.7560
Mg  0.5000  0.0000  0.2440
Mg  0.5000  0.0000  0.7560
Mg  0.5000  0.5000  0.0000
Mg  0.5000  0.5000  0.5000
O  0.0000  0.0000  0.2746
O  0.0000  0.0000  0.7254
O  0.0000  0.5000  0.0000
O  0.0000  0.5000  0.5000
O  0.5000  0.0000  0.0000
O  0.5000  0.0000  0.5000
O  0.5000  0.5000  0.2525
O  0.5000  0.5000  0.7475

Most intense lines, 10 to 90 degrees two-theta, by angle:
2θ (°)	Rel. int.
18.8	69
26.7	59
32.9	46
38.2	100
42.9	32
47.2	24
55.1	62
58.8	16
62.3	11
65.7	23
69.0	19
75.5	13